Pm2HoMg2: simulated powder diffractogram (Cu Kα, 1.54184 Å), based on a PBE-relaxed structure.
Peak positions follow from Bragg's law for the DFT cell and can differ from measured ones.

The 10 most intense peaks (2θ = 5–70°), in order of rising 2θ:
h k l, d (Å), two_theta, I (rel.)
0 0 1, 14.077, 6.28, 10
0 1 2, 4.315, 20.58, 11
1 0 0, 3.780, 23.53, 16
0 1 3, 3.559, 25.02, 23
0 0 5, 2.815, 31.78, 18
0 2 0, 2.733, 32.76, 100
0 2 5, 1.960, 46.32, 12
0 1 8, 1.676, 54.76, 12
1 1 -8, 1.609, 57.24, 9
1 3 -3, 1.578, 58.50, 21

Structural model:
```
data_Pm2HoMg2
_chemical_formula_sum 'Pm4 Ho2 Mg4'
_cell_length_a 3.815
_cell_length_b 5.462
_cell_length_c 14.206
_cell_angle_alpha 90.00
_cell_angle_beta 97.75
_cell_angle_gamma 90.00
_space_group_name_H-M_alt 'P 1 21/m 1'
_space_group_IT_number 11
loop_
_space_group_symop_operation_xyz
'x,y,z'
'-x,-y,-z'
'-x,y+1/2,-z'
'x,-y+1/2,z'
loop_
_atom_site_label
_atom_site_type_symbol
_atom_site_fract_x
_atom_site_fract_y
_atom_site_fract_z
_atom_site_occupancy
Pm1 Pm 0.045 0.250 0.090 1
Pm2 Pm 0.236 0.250 0.474 1
Ho1 Ho 0.150 0.750 0.300 1
Mg1 Mg 0.360 0.750 0.720 1
Mg2 Mg 0.446 0.250 0.891 1
```